Theoretical PXRD pattern
Compound: AcTbHo6Er2
Radiation: a wavelength of 1.5418 Å
Structure: a crystal structure in Alexandria, relaxed with GGA-PBE
Neutral-atom scattering factors, no anomalous dispersion.

Cell and atoms:
```
data_AcTbHo6Er2
_cell_length_a 8.8611
_cell_length_b 8.8611
_cell_length_c 9.4565
_cell_angle_alpha 92.45
_cell_angle_beta 92.45
_cell_angle_gamma 117.48
_symmetry_space_group_name_H-M 'P 1'
_symmetry_Int_Tables_number 1
_symmetry_space_group_name_Hall 'P 1'
loop_
_atom_site_label
_atom_site_type_symbol
_atom_site_fract_x
_atom_site_fract_y
_atom_site_fract_z
Ac1 Ac 0.0318 0.9682 0.7500
Ac2 Ac 0.9682 0.0318 0.2500
Tb1 Tb 0.4121 0.5879 0.2500
Tb2 Tb 0.5879 0.4121 0.7500
Ho1 Ho 0.0145 0.5543 0.6797
Ho2 Ho 0.1275 0.7517 0.0579
Ho3 Ho 0.2483 0.8725 0.4421
Ho4 Ho 0.2879 0.5116 0.8847
Ho5 Ho 0.4457 0.9855 0.8203
Ho6 Ho 0.4884 0.7121 0.6153
Ho7 Ho 0.5116 0.2879 0.3847
Ho8 Ho 0.5543 0.0145 0.1797
Ho9 Ho 0.7121 0.4884 0.1153
Ho10 Ho 0.7517 0.1275 0.5579
Ho11 Ho 0.8725 0.2483 0.9421
Ho12 Ho 0.9855 0.4457 0.3203
Er1 Er 0.2022 0.3156 0.5496
Er2 Er 0.3156 0.2022 0.0496
Er3 Er 0.6844 0.7978 0.9504
Er4 Er 0.7978 0.6844 0.4504
```

Most intense lines, 2θ = 5–70°, by intensity:
d = 2.919 Å, intensity 100
d = 2.902 Å, intensity 38
d = 3.162 Å, intensity 35
d = 2.877 Å, intensity 33
d = 2.611 Å, intensity 32
d = 2.831 Å, intensity 29
d = 2.771 Å, intensity 19
d = 3.124 Å, intensity 17
d = 1.672 Å, intensity 14
d = 2.541 Å, intensity 14

***

Theoretical PXRD pattern
Compound: Tl2I3O9
Radiation: a wavelength of 1.5418 Å
Structure: a crystal structure in Alexandria, relaxed with GGA-PBE
Neutral-atom scattering factors, no anomalous dispersion.

Cell and atoms:
```
data_Tl2I3O9
_cell_length_a 7.2262
_cell_length_b 7.2664
_cell_length_c 10.7961
_cell_angle_alpha 87.73
_cell_angle_beta 73.23
_cell_angle_gamma 72.35
_symmetry_space_group_name_H-M 'P 1'
_symmetry_Int_Tables_number 1
_symmetry_space_group_name_Hall 'P 1'
loop_
_atom_site_label
_atom_site_type_symbol
_atom_site_fract_x
_atom_site_fract_y
_atom_site_fract_z
Tl1 Tl 0.0000 0.0000 0.0000
Tl2 Tl 0.1691 0.0454 0.5940
Tl3 Tl 0.5000 0.5000 0.0000
Tl4 Tl 0.8309 0.9546 0.4060
I1 I 0.0273 0.5258 0.8107
I2 I 0.4208 0.4480 0.3657
I3 I 0.4480 0.9615 0.1923
I4 I 0.5520 0.0385 0.8077
I5 I 0.5792 0.5520 0.6343
I6 I 0.9727 0.4742 0.1893
O1 O 0.0535 0.5480 0.3196
O2 O 0.0858 0.2115 0.1814
O3 O 0.1576 0.5468 0.0481
O4 O 0.2853 0.1490 0.8116
O5 O 0.3234 0.8379 0.3258
O6 O 0.3336 0.5602 0.6082
O7 O 0.4184 0.2014 0.4075
O8 O 0.4310 0.8275 0.0532
O9 O 0.4563 0.6198 0.8113
O10 O 0.5437 0.3802 0.1887
O11 O 0.5690 0.1725 0.9468
O12 O 0.5816 0.7986 0.5925
O13 O 0.6664 0.4398 0.3918
O14 O 0.6766 0.1621 0.6742
O15 O 0.7147 0.8510 0.1884
O16 O 0.8424 0.4532 0.9519
O17 O 0.9142 0.7885 0.8186
O18 O 0.9465 0.4520 0.6804
```

Most intense lines, 2θ = 5–70°, by intensity:
d = 3.487 Å, intensity 100
d = 3.265 Å, intensity 98
d = 3.457 Å, intensity 90
d = 3.441 Å, intensity 66
d = 2.918 Å, intensity 53
d = 2.991 Å, intensity 50
d = 2.950 Å, intensity 37
d = 2.034 Å, intensity 30
d = 2.147 Å, intensity 29
d = 3.295 Å, intensity 26

***

Theoretical PXRD pattern
Compound: Pm6In5Au
Radiation: a wavelength of 1.5418 Å
Structure: a crystal structure in Alexandria, relaxed with GGA-PBE
Neutral-atom scattering factors, no anomalous dispersion.

Cell and atoms:
```
data_Pm6In5Au
_cell_length_a 8.5222
_cell_length_b 8.5222
_cell_length_c 7.7687
_cell_angle_alpha 90.00
_cell_angle_beta 90.00
_cell_angle_gamma 143.24
_symmetry_space_group_name_H-M 'P 1'
_symmetry_Int_Tables_number 1
_symmetry_space_group_name_Hall 'P 1'
loop_
_atom_site_label
_atom_site_type_symbol
_atom_site_fract_x
_atom_site_fract_y
_atom_site_fract_z
Pm1 Pm 0.0000 0.0000 0.2412
Pm2 Pm 0.0000 0.0000 0.7588
Pm3 Pm 0.3380 0.6620 0.2463
Pm4 Pm 0.3380 0.6620 0.7537
Pm5 Pm 0.6620 0.3380 0.2463
Pm6 Pm 0.6620 0.3380 0.7537
In1 In 0.1691 0.8309 0.0000
In2 In 0.1688 0.8312 0.5000
In3 In 0.5000 0.5000 0.5000
In4 In 0.8309 0.1691 0.0000
In5 In 0.8312 0.1688 0.5000
Au1 Au 0.5000 0.5000 0.0000
```

Most intense lines, 2θ = 5–70°, by intensity:
d = 2.719 Å, intensity 100
d = 2.687 Å, intensity 24
d = 2.696 Å, intensity 24
d = 1.575 Å, intensity 19
d = 1.557 Å, intensity 18
d = 1.561 Å, intensity 18
d = 1.903 Å, intensity 17
d = 1.359 Å, intensity 11
d = 1.942 Å, intensity 10
d = 1.348 Å, intensity 3

***

Theoretical PXRD pattern
Compound: TaRuSe2
Radiation: a wavelength of 1.5418 Å
Structure: a crystal structure in Alexandria, relaxed with GGA-PBE
Neutral-atom scattering factors, no anomalous dispersion.

Cell and atoms:
```
data_TaRuSe2
_cell_length_a 9.5211
_cell_length_b 9.5211
_cell_length_c 9.5211
_cell_angle_alpha 19.37
_cell_angle_beta 19.37
_cell_angle_gamma 19.37
_symmetry_space_group_name_H-M 'P 1'
_symmetry_Int_Tables_number 1
_symmetry_space_group_name_Hall 'P 1'
loop_
_atom_site_label
_atom_site_type_symbol
_atom_site_fract_x
_atom_site_fract_y
_atom_site_fract_z
Ta1 Ta 0.0000 0.0000 0.0000
Ru1 Ru 0.7470 0.7470 0.7470
Se1 Se 0.2693 0.2693 0.2693
Se2 Se 0.4703 0.4703 0.4703
```

Most intense lines, 2θ = 5–70°, by intensity:
d = 9.340 Å, intensity 100
d = 2.580 Å, intensity 95
d = 2.175 Å, intensity 38
d = 2.280 Å, intensity 27
d = 1.876 Å, intensity 27
d = 1.602 Å, intensity 25
d = 4.670 Å, intensity 13
d = 1.361 Å, intensity 13
d = 1.868 Å, intensity 11
d = 2.335 Å, intensity 8

***

Theoretical PXRD pattern
Compound: Er3Te3O
Radiation: a wavelength of 1.5418 Å
Structure: a crystal structure in Alexandria, relaxed with GGA-PBE
Neutral-atom scattering factors, no anomalous dispersion.

Cell and atoms:
```
data_Er3Te3O
_cell_length_a 9.0844
_cell_length_b 9.0844
_cell_length_c 6.0731
_cell_angle_alpha 90.00
_cell_angle_beta 90.00
_cell_angle_gamma 119.90
_symmetry_space_group_name_H-M 'P 1'
_symmetry_Int_Tables_number 1
_symmetry_space_group_name_Hall 'P 1'
loop_
_atom_site_label
_atom_site_type_symbol
_atom_site_fract_x
_atom_site_fract_y
_atom_site_fract_z
Er1 Er 0.1959 0.8041 0.7500
Er2 Er 0.1968 0.3933 0.7500
Er3 Er 0.3933 0.1968 0.2500
Er4 Er 0.6067 0.8032 0.7500
Er5 Er 0.8032 0.6067 0.2500
Er6 Er 0.8041 0.1959 0.2500
Te1 Te 0.1858 0.8142 0.2500
Te2 Te 0.1867 0.3728 0.2500
Te3 Te 0.3728 0.1867 0.7500
Te4 Te 0.6272 0.8133 0.2500
Te5 Te 0.8133 0.6272 0.7500
Te6 Te 0.8142 0.1858 0.7500
O1 O 0.3330 0.6670 0.7500
O2 O 0.6670 0.3330 0.2500
```

Most intense lines, 2θ = 5–70°, by intensity:
d = 3.936 Å, intensity 100
d = 2.975 Å, intensity 96
d = 3.037 Å, intensity 81
d = 2.125 Å, intensity 75
d = 1.819 Å, intensity 56
d = 2.272 Å, intensity 56
d = 2.405 Å, intensity 43
d = 1.398 Å, intensity 37
d = 4.545 Å, intensity 35
d = 1.574 Å, intensity 28